Structure and simulated XRD peak list of LaCoNiAs2 (a crystal structure in Alexandria, relaxed with PBE; CuKα).
Kinematic intensities with the Lorentz-polarization factor, no thermal factor.

Top 10 peaks for 10 to 90 degrees two-theta, sorted by position:
Position (°2θ), d [Å], I/Imax
31.31, 2.856, 21.9
33.28, 2.693, 100.0
35.53, 2.527, 68.2
44.87, 2.020, 52.6
47.62, 1.910, 20.2
57.00, 1.616, 42.2
60.67, 1.526, 25.8
65.34, 1.428, 16.5
67.50, 1.388, 14.0
86.52, 1.125, 13.3

Atomic structure:
a b c (Å): 6.125 6.125 6.125
angles (deg): 141.49 141.49 55.60
Fractional positions:
La 0.000 0.000 0.000
Co 0.750 0.250 0.500
Ni 0.250 0.750 0.500
As 0.363 0.363 0.000
As 0.637 0.637 0.000


Structure and simulated XRD peak list of Li3Co2As4Pd2 (a crystal structure in Alexandria, relaxed with PBE; CuKα).
Kinematic intensities with the Lorentz-polarization factor, no thermal factor.

Top 10 peaks for 10 to 90 degrees two-theta, sorted by position:
Position (°2θ), d [Å], I/Imax
24.54, 3.628, 100.0
25.79, 3.455, 16.4
31.60, 2.831, 54.7
40.41, 2.232, 47.9
43.20, 2.094, 99.7
47.31, 1.921, 23.1
54.50, 1.684, 67.9
79.22, 1.209, 16.0
82.19, 1.173, 20.1
87.78, 1.112, 17.6

Atomic structure:
a b c (Å): 4.189 4.189 11.325
angles (deg): 90.00 90.00 120.00
Fractional positions:
Li 0.000 0.000 0.000
Li 0.000 0.000 0.272
Li 0.000 0.000 0.728
Co 0.333 0.667 0.580
Co 0.667 0.333 0.420
As 0.333 0.667 0.379
As 0.333 0.667 0.888
As 0.667 0.333 0.112
As 0.667 0.333 0.621
Pd 0.333 0.667 0.133
Pd 0.667 0.333 0.867


Structure and simulated XRD peak list of Li2CoAs2Pd (a crystal structure in Alexandria, relaxed with PBE; CuKα).
Kinematic intensities with the Lorentz-polarization factor, no thermal factor.

Top 10 peaks for 10 to 90 degrees two-theta, sorted by position:
Position (°2θ), d [Å], I/Imax
14.53, 6.097, 100.0
26.86, 3.320, 60.0
35.21, 2.549, 20.2
35.36, 2.538, 19.7
43.85, 2.064, 38.8
43.98, 2.059, 42.0
45.86, 1.979, 35.1
48.36, 1.882, 17.6
79.35, 1.208, 12.0
83.63, 1.156, 11.5

Atomic structure:
a b c (Å): 7.269 7.269 7.269
angles (deg): 134.59 65.98 134.83
Fractional positions:
Li 0.162 0.237 0.400
Li 0.338 0.737 0.075
Li 0.662 0.263 0.925
Li 0.838 0.763 0.600
Co 0.250 0.750 0.500
Co 0.750 0.250 0.500
As 0.120 0.715 0.836
As 0.380 0.215 0.595
As 0.620 0.785 0.405
As 0.880 0.285 0.164
Pd 0.250 0.250 0.000
Pd 0.750 0.750 0.000


Structure and simulated XRD peak list of LiCo2SnAs (a crystal structure in Alexandria, relaxed with PBE; CuKα).
Kinematic intensities with the Lorentz-polarization factor, no thermal factor.

Top 10 peaks for 10 to 90 degrees two-theta, sorted by position:
Position (°2θ), d [Å], I/Imax
18.32, 4.842, 95.9
25.13, 3.544, 47.7
26.29, 3.390, 56.9
32.32, 2.770, 69.7
40.39, 2.233, 86.8
42.30, 2.137, 47.0
44.56, 2.033, 28.6
46.10, 1.969, 49.5
46.91, 1.937, 100.0
51.96, 1.760, 44.9

Atomic structure:
a b c (Å): 4.565 4.565 4.904
angles (deg): 98.22 98.22 51.09
Fractional positions:
Li 0.000 0.000 0.000
Co 0.298 0.298 0.724
Co 0.892 0.892 0.465
Sn 0.605 0.605 0.633
As 0.335 0.335 0.198